Record 1
Diffraction record for RbAu5. The powder diffractogram is calculated, not measured: it uses a GGA-PBE-relaxed structure and Cu Ka.

Main lines, low angle first (10 to 90 degrees two-theta):
Position (°2θ)  I (rel.)
17.4  60.4
35.1  27.4
36.3  100.0
39.5  33.0
40.5  80.1
53.9  19.0
57.8  26.3
63.1  34.1
69.6  15.3
77.0  29.2

Atomic structure:
Unit cell a=5.896 b=5.896 c=4.558 alpha=90.00 beta=90.00 gamma=120.00
Sites, in units of the cell vectors:
Rb  0.000  0.000  0.000
Au  0.000  0.500  0.500
Au  0.333  0.667  0.000
Au  0.500  0.000  0.500
Au  0.500  0.500  0.500
Au  0.667  0.333  0.000

---

Record 2
Diffraction record for Ba2SnN2. The powder diffractogram is calculated, not measured: it uses a GGA-PBE-relaxed structure and Cu Ka.

Main lines, low angle first (10 to 90 degrees two-theta):
Position (°2θ)  I (rel.)
26.0  60.8
27.0  68.9
29.4  75.9
30.5  80.7
31.5  100.0
36.3  28.6
44.3  26.9
48.1  24.2
55.2  17.1
57.3  26.4

Atomic structure:
Unit cell a=6.934 b=6.934 c=13.450 alpha=90.00 beta=90.00 gamma=129.95
Sites, in units of the cell vectors:
Ba  0.042  0.958  0.856
Ba  0.146  0.854  0.451
Ba  0.354  0.646  0.951
Ba  0.458  0.542  0.356
Ba  0.542  0.458  0.644
Ba  0.646  0.354  0.049
Ba  0.854  0.146  0.549
Ba  0.958  0.042  0.144
Sn  0.246  0.754  0.686
Sn  0.254  0.746  0.186
Sn  0.746  0.254  0.814
Sn  0.754  0.246  0.314
N  0.082  0.918  0.643
N  0.160  0.840  0.057
N  0.340  0.660  0.557
N  0.418  0.582  0.143
N  0.582  0.418  0.857
N  0.660  0.340  0.443
N  0.840  0.160  0.943
N  0.918  0.082  0.357

---

Record 3
Diffraction record for Mg14NbCuO16. The powder diffractogram is calculated, not measured: it uses a GGA-PBE-relaxed structure and Cu Ka.

Main lines, low angle first (10 to 90 degrees two-theta):
Position (°2θ)  I (rel.)
10.2  55.2
20.5  28.3
36.2  67.9
41.6  100.0
41.8  99.3
42.6  94.6
60.5  56.6
61.1  55.2
61.2  55.2
76.7  50.4

Atomic structure:
Unit cell a=4.244 b=8.645 c=8.681 alpha=90.00 beta=90.00 gamma=90.00
Sites, in units of the cell vectors:
Mg  0.000  0.000  0.000
Mg  0.000  0.000  0.500
Mg  0.000  0.249  0.241
Mg  0.000  0.249  0.759
Mg  0.000  0.751  0.241
Mg  0.000  0.751  0.759
Mg  0.500  0.000  0.246
Mg  0.500  0.000  0.754
Mg  0.500  0.241  0.500
Mg  0.500  0.251  0.000
Mg  0.500  0.500  0.234
Mg  0.500  0.500  0.766
Mg  0.500  0.749  0.000
Mg  0.500  0.759  0.500
Nb  0.000  0.500  0.500
Cu  0.000  0.500  0.000
O  0.000  0.000  0.254
O  0.000  0.000  0.746
O  0.000  0.233  0.000
O  0.000  0.244  0.500
O  0.000  0.500  0.255
O  0.000  0.500  0.745
O  0.000  0.756  0.500
O  0.000  0.767  0.000
O  0.500  0.000  0.000
O  0.500  0.000  0.500
O  0.500  0.252  0.251
O  0.500  0.252  0.749
O  0.500  0.500  0.000
O  0.500  0.500  0.500
O  0.500  0.748  0.251
O  0.500  0.748  0.749

---

Record 4
Diffraction record for CsMg14Mo. The powder diffractogram is calculated, not measured: it uses a GGA-PBE-relaxed structure and Cu Ka.

Main lines, low angle first (10 to 90 degrees two-theta):
Position (°2θ)  I (rel.)
15.9  47.3
16.5  16.5
23.0  39.6
32.0  30.0
33.3  23.6
36.2  100.0
46.9  20.3
57.1  17.2
61.5  16.1
67.7  16.8

Atomic structure:
Unit cell a=6.454 b=6.454 c=10.753 alpha=90.00 beta=90.00 gamma=120.00
Sites, in units of the cell vectors:
Cs  0.000  0.000  0.000
Mg  0.009  0.504  0.000
Mg  0.165  0.330  0.283
Mg  0.165  0.330  0.717
Mg  0.165  0.835  0.283
Mg  0.165  0.835  0.717
Mg  0.496  0.504  0.000
Mg  0.496  0.991  0.000
Mg  0.505  0.011  0.500
Mg  0.505  0.495  0.500
Mg  0.667  0.333  0.238
Mg  0.667  0.333  0.762
Mg  0.670  0.835  0.283
Mg  0.670  0.835  0.717
Mg  0.989  0.495  0.500
Mo  0.000  0.000  0.500

---

Record 5
Diffraction record for Ba2GdBiO6. The powder diffractogram is calculated, not measured: it uses a GGA-PBE-relaxed structure and Cu Ka.

Main lines, low angle first (10 to 90 degrees two-theta):
Position (°2θ)  I (rel.)
20.3  5.7
28.8  100.0
41.2  27.8
46.3  2.7
51.0  43.1
59.7  17.7
67.6  18.7
75.1  5.9
82.3  22.7
89.4  2.9

Atomic structure:
Unit cell a=8.766 b=8.766 c=8.766 alpha=90.00 beta=90.00 gamma=90.00
Sites, in units of the cell vectors:
Ba  0.250  0.250  0.250
Ba  0.250  0.250  0.750
Ba  0.250  0.750  0.250
Ba  0.250  0.750  0.750
Ba  0.750  0.250  0.250
Ba  0.750  0.250  0.750
Ba  0.750  0.750  0.250
Ba  0.750  0.750  0.750
Gd  0.000  0.000  0.000
Gd  0.000  0.500  0.500
Gd  0.500  0.000  0.500
Gd  0.500  0.500  0.000
Bi  0.000  0.000  0.500
Bi  0.000  0.500  0.000
Bi  0.500  0.000  0.000
Bi  0.500  0.500  0.500
O  0.020  0.522  0.757
O  0.020  0.978  0.743
O  0.022  0.243  0.520
O  0.022  0.257  0.980
O  0.243  0.520  0.022
O  0.243  0.980  0.478
O  0.257  0.520  0.478
O  0.257  0.980  0.022
O  0.478  0.243  0.980
O  0.478  0.257  0.520
O  0.480  0.522  0.743
O  0.480  0.978  0.757
O  0.520  0.022  0.243
O  0.520  0.478  0.257
O  0.522  0.743  0.480
O  0.522  0.757  0.020
O  0.743  0.020  0.978
O  0.743  0.480  0.522
O  0.757  0.020  0.522
O  0.757  0.480  0.978
O  0.978  0.743  0.020
O  0.978  0.757  0.480
O  0.980  0.022  0.257
O  0.980  0.478  0.243

---

Record 6
Diffraction record for CaPt3O4. The powder diffractogram is calculated, not measured: it uses a GGA-PBE-relaxed structure and Cu Ka.

Main lines, low angle first (10 to 90 degrees two-theta):
Position (°2θ)  I (rel.)
21.4  23.7
30.4  6.2
34.1  100.0
37.5  28.9
54.1  21.8
56.5  24.2
58.8  15.5
63.3  12.9
73.9  22.0
89.9  21.1

Atomic structure:
Unit cell a=5.875 b=5.875 c=5.875 alpha=90.00 beta=90.00 gamma=90.00
Sites, in units of the cell vectors:
Ca  0.000  0.000  0.000
Ca  0.500  0.500  0.500
Pt  0.000  0.250  0.500
Pt  0.000  0.750  0.500
Pt  0.250  0.500  0.000
Pt  0.500  0.000  0.250
Pt  0.500  0.000  0.750
Pt  0.750  0.500  0.000
O  0.250  0.250  0.250
O  0.250  0.250  0.750
O  0.250  0.750  0.250
O  0.250  0.750  0.750
O  0.750  0.250  0.250
O  0.750  0.250  0.750
O  0.750  0.750  0.250
O  0.750  0.750  0.750

---

Record 7
Diffraction record for NaHCN2. The powder diffractogram is calculated, not measured: it uses a GGA-PBE-relaxed structure and Cu Ka.

Main lines, low angle first (10 to 90 degrees two-theta):
Position (°2θ)  I (rel.)
26.3  18.7
29.7  100.0
32.4  85.4
35.9  31.8
38.3  86.8
44.3  26.0
45.7  22.4
49.9  15.2
50.4  16.9
56.5  17.5

Atomic structure:
Unit cell a=3.577 b=10.491 c=6.515 alpha=90.00 beta=90.00 gamma=90.00
Sites, in units of the cell vectors:
Na  0.238  0.250  0.000
Na  0.238  0.250  0.500
Na  0.762  0.750  0.000
Na  0.762  0.750  0.500
H  0.161  0.583  0.250
H  0.161  0.917  0.750
H  0.839  0.083  0.250
H  0.839  0.417  0.750
C  0.209  0.547  0.750
C  0.209  0.953  0.250
C  0.791  0.047  0.750
C  0.791  0.453  0.250
N  0.124  0.072  0.250
N  0.124  0.428  0.750
N  0.304  0.657  0.750
N  0.304  0.843  0.250
N  0.696  0.157  0.750
N  0.696  0.343  0.250
N  0.876  0.572  0.250
N  0.876  0.928  0.750